No. 1
The following is a computed X-ray powder pattern of Ba2Li2MgTl5. It was derived from the GGA-PBE geometry in Alexandria, using λ = 1.5418 Å (Cu Kα).
Lines closer than 0.1° are merged.

Cell and atoms:
```
20
Lattice="11.8829 0.0000 0.0000 0.0000 11.8829 0.0000 0.0000 0.0000 4.0557" Properties=species:S:1:pos:R:3 pbc="T T T"
Ba 2.1620 3.7795 0.0000
Ba 3.7795 9.7210 0.0000
Ba 8.1034 2.1620 0.0000
Ba 9.7210 8.1034 0.0000
Li 1.4089 7.3504 0.0000
Li 4.5325 1.4089 0.0000
Li 7.3504 10.4740 0.0000
Li 10.4740 4.5325 0.0000
Mg 0.0000 0.0000 0.0000
Mg 5.9415 5.9415 0.0000
Tl 0.0000 5.9415 2.0279
Tl 0.6584 9.5113 2.0279
Tl 2.3717 0.6584 2.0279
Tl 3.5698 6.5999 2.0279
Tl 5.2830 3.5698 2.0279
Tl 5.9415 0.0000 2.0279
Tl 6.5999 8.3132 2.0279
Tl 8.3132 5.2830 2.0279
Tl 9.5113 11.2245 2.0279
Tl 11.2245 2.3717 2.0279
```

Largest 10 diffraction maxima, most intense first, 5° ≤ 2θ ≤ 70°:
| 2theta | Rel. int. |
| --- | --- |
| 32.48 | 100.0 |
| 31.03 | 92.9 |
| 27.67 | 51.5 |
| 21.92 | 47.8 |
| 31.95 | 43.5 |
| 35.08 | 42.6 |
| 55.40 | 36.7 |
| 30.64 | 32.8 |
| 23.68 | 30.7 |
| 26.61 | 27.2 |


No. 2
The following is a computed X-ray powder pattern of BaLiMnN3. It was derived from the GGA-PBE geometry in Alexandria, using λ = 1.5418 Å (Cu Kα).
Lines closer than 0.1° are merged.

Cell and atoms:
```
12
Lattice="2.8313 -5.0708 0.0000 2.8313 5.0708 0.0000 -0.0274 0.0000 5.4021" Properties=species:S:1:pos:R:3 pbc="T T T"
Ba 2.8108 2.6684 4.0516
Ba 2.8244 -2.6684 1.3505
Li 2.8244 4.4189 1.3505
Li 2.8108 -4.4189 4.0516
Mn 2.8244 0.5825 1.3505
Mn 2.8108 -0.5825 4.0516
N 2.8244 2.2535 1.3505
N 1.5946 0.0102 2.7051
N 1.6083 -0.0102 0.0040
N 4.0269 0.0102 5.3981
N 4.0406 -0.0102 2.6970
N 2.8108 -2.2535 4.0516
```

Largest 10 diffraction maxima, most intense first, 5° ≤ 2θ ≤ 70°:
| 2theta | Rel. int. |
| --- | --- |
| 35.10 | 100.0 |
| 24.35 | 39.4 |
| 24.46 | 38.7 |
| 31.60 | 37.8 |
| 33.17 | 32.3 |
| 35.40 | 24.0 |
| 36.34 | 23.0 |
| 37.74 | 21.3 |
| 17.94 | 21.1 |
| 17.49 | 20.8 |